[1]
For SmNi2Ge3, a DFT-relaxed cell (GGA-PBE, Alexandria) gives the theoretical powder XRD pattern in this record (Cu Kα, 1.54184 Å).
Intensities are scaled so that the largest is 100.

Main lines, most intense first (2θ = 10–80°):
| d [Å] | I (rel.) |
| --- | --- |
| 2.627 | 100 |
| 2.061 | 99 |
| 2.653 | 73 |
| 2.364 | 59 |
| 2.834 | 41 |
| 1.627 | 33 |
| 1.457 | 31 |
| 2.256 | 31 |
| 1.865 | 24 |
| 1.701 | 23 |

Crystal structure
```
SmNi2Ge3
1.0
-2.0606 2.0606 12.1348
2.0606 -2.0606 12.1348
2.0606 2.0606 -12.1348
Sm Ni Ge
2 4 6
Cartesian
0.0000 0.0000 3.7125
0.0000 0.0000 20.5570
2.0606 0.0000 6.0674
0.0000 0.0000 9.7141
0.0000 0.0000 14.5555
0.0000 2.0606 6.0674
2.0606 0.0000 1.2554
0.0000 0.0000 7.3229
2.0606 0.0000 10.8794
0.0000 2.0606 1.2554
0.0000 0.0000 16.9467
0.0000 2.0606 10.8794
```

***

[2]
For MgSbF6, a DFT-relaxed cell (GGA-PBE, Alexandria) gives the theoretical powder XRD pattern in this record (Cu Kα, 1.54184 Å).
Intensities are scaled so that the largest is 100.

Main lines, most intense first (2θ = 10–80°):
| d [Å] | I (rel.) |
| --- | --- |
| 3.940 | 100 |
| 4.504 | 38 |
| 1.783 | 34 |
| 2.369 | 25 |
| 1.970 | 22 |
| 2.829 | 20 |
| 1.741 | 16 |
| 4.694 | 14 |
| 2.745 | 12 |
| 1.600 | 9 |

Crystal structure
```
MgSbF6
1.0
2.7445 1.5845 4.6938
-2.7445 1.5845 4.6938
0.0000 -3.1691 4.6938
Mg Sb F
1 1 6
Cartesian
0.0000 0.0000 0.0000
0.0000 0.0000 7.0407
-1.6354 0.3650 5.8553
-1.1338 -1.2338 8.2261
0.5016 -1.5988 5.8553
-0.5016 1.5988 8.2261
1.1338 1.2338 5.8553
1.6354 -0.3650 8.2261
```

***

[3]
For Pu3BrO3, a DFT-relaxed cell (GGA-PBE, Alexandria) gives the theoretical powder XRD pattern in this record (Cu Kα, 1.54184 Å).
Intensities are scaled so that the largest is 100.

Main lines, most intense first (2θ = 10–80°):
| d [Å] | I (rel.) |
| --- | --- |
| 3.090 | 100 |
| 2.499 | 43 |
| 1.966 | 29 |
| 1.534 | 22 |
| 1.618 | 18 |
| 7.355 | 17 |
| 1.659 | 17 |
| 3.405 | 16 |
| 2.452 | 15 |
| 1.268 | 15 |

Crystal structure
```
Pu3BrO3
1.0
3.4049 1.9658 7.3554
-3.4049 1.9658 7.3554
0.0000 -3.9317 7.3554
Pu Br O
6 2 6
Cartesian
-2.2732 0.0208 9.6418
-1.1546 -1.9583 12.4243
1.1186 -1.9791 9.6418
-1.1186 1.9791 12.4243
1.1546 1.9583 9.6418
2.2732 -0.0208 12.4243
0.0000 0.0000 7.3511
0.0000 0.0000 14.7150
-1.1504 -1.9571 10.0998
-2.2700 0.0177 11.9663
-1.1197 1.9748 10.0998
1.1197 -1.9748 11.9663
2.2700 -0.0177 10.0998
1.1504 1.9571 11.9663
```

***

[4]
For Dy2NpGe3Pt4, a DFT-relaxed cell (GGA-PBE, Alexandria) gives the theoretical powder XRD pattern in this record (Cu Kα, 1.54184 Å).
Intensities are scaled so that the largest is 100.

Main lines, most intense first (2θ = 10–80°):
| d [Å] | I (rel.) |
| --- | --- |
| 2.644 | 100 |
| 2.117 | 48 |
| 2.053 | 27 |
| 1.302 | 23 |
| 2.812 | 19 |
| 3.386 | 17 |
| 1.497 | 16 |
| 1.992 | 16 |
| 2.348 | 15 |
| 1.692 | 14 |

Crystal structure
```
Dy2NpGe3Pt4
1.0
4.2330 0.0000 0.0000
0.0000 4.2330 0.0000
0.0000 0.0000 11.2885
Dy Np Ge Pt
2 1 3 4
Cartesian
0.0000 2.1165 2.4920
2.1165 0.0000 8.7965
0.0000 0.0000 5.6443
0.0000 2.1165 9.8659
2.1165 0.0000 1.4226
2.1165 2.1165 5.6443
0.0000 0.0000 0.0000
0.0000 2.1165 7.4406
2.1165 0.0000 3.8479
2.1165 2.1165 0.0000
```